[1]
Calculated powder XRD pattern of Sr3Tb3CuSe8 for Cu Kα (λ = 1.5418 Å), from a PBE-relaxed structure.
No peak broadening, texture or thermal motion is included.

Principal peaks in the range 10° ≤ 2θ ≤ 90°, in order of falling intensity:
| 2theta | I_rel |
| --- | --- |
| 29.9 | 100 |
| 43.3 | 37 |
| 42.2 | 36 |
| 53.5 | 19 |
| 12.5 | 18 |
| 71.2 | 16 |
| 69.6 | 14 |
| 78.7 | 11 |

Atomic structure:
```
Sr3Tb3CuSe8
1.0
7.232 -4.177 0.000
7.232 4.177 0.000
-4.821 0.000 7.079
Sr Tb Cu Se
3 3 1 8
Direct
0.000 0.000 0.000
0.000 0.500 0.000
0.500 0.000 0.000
0.000 0.500 0.500
0.500 0.000 0.500
0.500 0.500 0.500
0.000 0.000 0.500
0.237 0.237 0.719
0.238 0.744 0.720
0.256 0.256 0.269
0.256 0.762 0.280
0.744 0.238 0.720
0.744 0.744 0.731
0.762 0.256 0.280
0.763 0.763 0.281
```

***

[2]
Calculated powder XRD pattern of SrTlCu3Se4 for Cu Kα (λ = 1.5418 Å), from a PBE-relaxed structure.
No peak broadening, texture or thermal motion is included.

Principal peaks in the range 10° ≤ 2θ ≤ 90°, in order of falling intensity:
| 2theta | I_rel |
| --- | --- |
| 40.5 | 100 |
| 20.0 | 45 |
| 14.1 | 44 |
| 24.5 | 43 |
| 73.8 | 32 |
| 34.9 | 23 |
| 47.9 | 19 |
| 58.7 | 16 |

Atomic structure:
```
SrTlCu3Se4
1.0
6.293 0.000 0.000
0.000 6.293 0.000
0.000 0.000 6.293
Sr Tl Cu Se
1 1 3 4
Direct
0.000 0.000 0.000
0.500 0.500 0.500
0.000 0.500 0.500
0.500 0.000 0.500
0.500 0.500 0.000
0.263 0.263 0.737
0.263 0.737 0.263
0.737 0.263 0.263
0.737 0.737 0.737
```

***

[3]
Calculated powder XRD pattern of Sr3Tm3CuSe8 for Cu Kα (λ = 1.5418 Å), from a PBE-relaxed structure.
No peak broadening, texture or thermal motion is included.

Principal peaks in the range 10° ≤ 2θ ≤ 90°, in order of falling intensity:
| 2theta | I_rel |
| --- | --- |
| 30.2 | 100 |
| 43.8 | 37 |
| 42.6 | 36 |
| 54.2 | 24 |
| 12.6 | 22 |
| 72.1 | 18 |
| 70.3 | 14 |
| 79.7 | 11 |

Atomic structure:
```
Sr3Tm3CuSe8
1.0
4.131 2.385 7.039
-4.131 2.385 7.039
0.000 -4.770 7.039
Sr Tm Cu Se
3 3 1 8
Direct
0.000 0.500 0.500
0.500 0.000 0.500
0.500 0.500 0.000
0.000 0.000 0.500
0.000 0.500 0.000
0.500 0.000 0.000
0.500 0.500 0.500
0.240 0.739 0.739
0.242 0.242 0.242
0.261 0.261 0.760
0.261 0.760 0.261
0.739 0.240 0.739
0.739 0.739 0.240
0.758 0.758 0.758
0.760 0.261 0.261
```

***

[4]
Calculated powder XRD pattern of TaCu3Se6 for Cu Kα (λ = 1.5418 Å), from a PBE-relaxed structure.
No peak broadening, texture or thermal motion is included.

Principal peaks in the range 10° ≤ 2θ ≤ 90°, in order of falling intensity:
| 2theta | I_rel |
| --- | --- |
| 28.5 | 100 |
| 16.4 | 49 |
| 49.1 | 45 |
| 33.5 | 39 |
| 31.9 | 39 |
| 40.7 | 28 |
| 28.6 | 28 |
| 44.6 | 28 |

Atomic structure:
```
TaCu3Se6
1.0
6.282 0.000 0.000
0.000 6.261 0.000
-6.154 0.000 10.697
Ta Cu Se
2 6 12
Direct
0.000 0.000 0.000
0.000 0.500 0.500
0.315 0.014 0.753
0.315 0.486 0.253
0.500 0.000 0.500
0.500 0.500 0.000
0.685 0.514 0.747
0.685 0.986 0.247
0.047 0.116 0.432
0.047 0.384 0.932
0.301 0.100 0.227
0.301 0.400 0.727
0.327 0.626 0.440
0.327 0.874 0.940
0.673 0.126 0.060
0.673 0.374 0.560
0.699 0.600 0.273
0.699 0.900 0.773
0.953 0.616 0.068
0.953 0.884 0.568
```

***

[5]
Calculated powder XRD pattern of TaCu3Te2Se2 for Cu Kα (λ = 1.5418 Å), from a PBE-relaxed structure.
No peak broadening, texture or thermal motion is included.

Principal peaks in the range 10° ≤ 2θ ≤ 90°, in order of falling intensity:
| 2theta | I_rel |
| --- | --- |
| 15.1 | 100 |
| 43.7 | 100 |
| 26.0 | 55 |
| 26.6 | 50 |
| 34.2 | 46 |
| 42.9 | 26 |
| 44.3 | 23 |
| 34.6 | 18 |

Atomic structure:
```
TaCu3Te2Se2
1.0
4.089 -4.219 0.000
4.089 4.219 0.000
0.000 0.000 5.854
Ta Cu Te Se
1 3 2 2
Direct
0.000 0.000 0.000
0.000 0.000 0.506
0.000 0.500 0.996
0.500 0.000 0.996
0.267 0.267 0.262
0.733 0.733 0.262
0.238 0.762 0.757
0.762 0.238 0.757
```

***

[6]
Calculated powder XRD pattern of Tb2CuSe4 for Cu Kα (λ = 1.5418 Å), from a PBE-relaxed structure.
No peak broadening, texture or thermal motion is included.

Principal peaks in the range 10° ≤ 2θ ≤ 90°, in order of falling intensity:
| 2theta | I_rel |
| --- | --- |
| 29.6 | 100 |
| 33.5 | 88 |
| 43.1 | 81 |
| 38.8 | 60 |
| 33.7 | 40 |
| 44.7 | 38 |
| 41.0 | 37 |
| 20.2 | 37 |

Atomic structure:
```
Tb2CuSe4
1.0
7.053 0.000 0.000
0.000 5.794 0.000
-2.327 0.000 7.776
Tb Cu Se
4 2 8
Direct
0.227 0.250 0.431
0.241 0.250 0.935
0.759 0.750 0.065
0.773 0.750 0.569
0.235 0.750 0.683
0.765 0.250 0.317
0.070 0.750 0.384
0.072 0.750 0.901
0.485 0.509 0.247
0.485 0.991 0.247
0.515 0.009 0.753
0.515 0.491 0.753
0.928 0.250 0.099
0.930 0.250 0.616
```

***

[7]
Calculated powder XRD pattern of TbCuSe2 for Cu Kα (λ = 1.5418 Å), from a PBE-relaxed structure.
No peak broadening, texture or thermal motion is included.

Principal peaks in the range 10° ≤ 2θ ≤ 90°, in order of falling intensity:
| 2theta | I_rel |
| --- | --- |
| 31.2 | 100 |
| 35.2 | 85 |
| 30.0 | 75 |
| 22.9 | 69 |
| 39.3 | 61 |
| 32.4 | 53 |
| 40.2 | 39 |
| 46.6 | 38 |

Atomic structure:
```
TbCuSe2
1.0
6.618 0.000 0.000
0.000 7.346 0.000
-0.749 0.000 7.074
Tb Cu Se
4 4 8
Direct
0.196 0.042 0.299
0.196 0.458 0.799
0.804 0.542 0.201
0.804 0.958 0.701
0.427 0.659 0.455
0.427 0.841 0.955
0.573 0.159 0.045
0.573 0.341 0.545
0.072 0.725 0.497
0.072 0.775 0.997
0.400 0.112 0.718
0.400 0.388 0.218
0.600 0.612 0.782
0.600 0.888 0.282
0.928 0.225 0.003
0.928 0.275 0.503
```

***

[8]
Calculated powder XRD pattern of Cu2Te2Se5 for Cu Kα (λ = 1.5418 Å), from a PBE-relaxed structure.
No peak broadening, texture or thermal motion is included.

Principal peaks in the range 10° ≤ 2θ ≤ 90°, in order of falling intensity:
| 2theta | I_rel |
| --- | --- |
| 26.5 | 100 |
| 35.8 | 86 |
| 27.5 | 86 |
| 27.8 | 69 |
| 35.1 | 62 |
| 47.0 | 60 |
| 40.2 | 57 |
| 37.3 | 52 |

Atomic structure:
```
Cu2Te2Se5
1.0
9.638 -3.438 0.000
9.638 3.438 0.000
-2.686 0.000 6.840
Cu Te Se
4 4 10
Direct
0.000 0.000 0.000
0.205 0.315 0.177
0.534 0.466 0.500
0.685 0.795 0.823
0.111 0.101 0.649
0.278 0.481 0.792
0.519 0.722 0.208
0.899 0.889 0.351
0.209 0.115 0.286
0.238 0.723 0.220
0.277 0.762 0.780
0.335 0.156 0.867
0.425 0.310 0.448
0.690 0.575 0.552
0.717 0.186 0.172
0.814 0.283 0.828
0.844 0.665 0.133
0.885 0.791 0.714
```

***

Please write out number 6 again, unchanged.
Calculated powder XRD pattern of Tb2CuSe4 for Cu Kα (λ = 1.5418 Å), from a PBE-relaxed structure.
No peak broadening, texture or thermal motion is included.

Principal peaks in the range 10° ≤ 2θ ≤ 90°, in order of falling intensity:
| 2theta | I_rel |
| --- | --- |
| 29.6 | 100 |
| 33.5 | 88 |
| 43.1 | 81 |
| 38.8 | 60 |
| 33.7 | 40 |
| 44.7 | 38 |
| 41.0 | 37 |
| 20.2 | 37 |

Atomic structure:
```
Tb2CuSe4
1.0
7.053 0.000 0.000
0.000 5.794 0.000
-2.327 0.000 7.776
Tb Cu Se
4 2 8
Direct
0.227 0.250 0.431
0.241 0.250 0.935
0.759 0.750 0.065
0.773 0.750 0.569
0.235 0.750 0.683
0.765 0.250 0.317
0.070 0.750 0.384
0.072 0.750 0.901
0.485 0.509 0.247
0.485 0.991 0.247
0.515 0.009 0.753
0.515 0.491 0.753
0.928 0.250 0.099
0.930 0.250 0.616
```